For CrP2H13N2O10, a DFT-relaxed cell (GGA+U, Alexandria) gives the theoretical powder X-ray diffraction pattern in this record (a wavelength of 1.5418 Å).
Kinematic intensities with the Lorentz-polarization factor, no thermal factor.

Main lines, sorted by position (15 to 90 degrees two-theta):
hkl 0 1 1, 17.13 deg, I = 78
hkl 1 0 1, 18.04 deg, I = 36
hkl 0 0 2, 19.52 deg, I = 100
hkl 1 -2 0, 22.82 deg, I = 42
hkl 2 0 0, 26.34 deg, I = 57
hkl 1 -2 2, 27.38 deg, I = 32
hkl 1 2 -2, 29.51 deg, I = 36
hkl 1 3 -1, 38.50 deg, I = 31

Atomic structure:
```
data_CrP2H13N2O10
_chemical_formula_sum 'Cr2 P4 H26 N4 O20'
_space_group_name_H-M_alt 'P 1'
_space_group_IT_number 1
_cell_length_a 7.172
_cell_length_b 8.416
_cell_length_c 9.669
_cell_angle_alpha 104.87
_cell_angle_beta 98.83
_cell_angle_gamma 103.99
loop_
_space_group_symop_operation_xyz
'x,y,z'
loop_
_atom_site_label
_atom_site_type_symbol
_atom_site_fract_x
_atom_site_fract_y
_atom_site_fract_z
Cr1 Cr 0.239 0.310 0.202
Cr2 Cr 0.761 0.690 0.798
P1 P 0.215 0.957 0.281
P2 P 0.395 0.819 0.706
P3 P 0.605 0.181 0.294
P4 P 0.785 0.043 0.719
H1 H 0.024 0.340 0.403
H2 H 0.048 0.709 0.018
H3 H 0.134 0.291 0.720
H4 H 0.143 0.744 0.882
H5 H 0.164 0.538 0.422
H6 H 0.209 0.092 0.937
H7 H 0.223 0.907 0.502
H8 H 0.225 0.186 0.602
H9 H 0.260 0.408 0.487
H10 H 0.280 0.632 0.199
H11 H 0.329 0.287 0.939
H12 H 0.444 0.176 0.023
H13 H 0.497 0.388 0.760
H14 H 0.503 0.612 0.240
H15 H 0.556 0.824 0.977
H16 H 0.671 0.713 0.061
H17 H 0.720 0.368 0.801
H18 H 0.740 0.592 0.513
H19 H 0.775 0.814 0.398
H20 H 0.777 0.093 0.498
H21 H 0.791 0.908 0.063
H22 H 0.836 0.462 0.578
H23 H 0.857 0.256 0.118
H24 H 0.866 0.709 0.280
H25 H 0.952 0.291 0.982
H26 H 0.976 0.660 0.597
N1 N 0.161 0.411 0.399
N2 N 0.312 0.205 0.002
N3 N 0.688 0.795 0.998
N4 N 0.839 0.589 0.601
O1 O 0.019 0.680 0.908
O2 O 0.120 0.764 0.206
O3 O 0.122 0.070 0.208
O4 O 0.208 0.005 0.448
O5 O 0.233 0.786 0.570
O6 O 0.255 0.294 0.684
O7 O 0.327 0.843 0.849
O8 O 0.361 0.551 0.188
O9 O 0.444 0.995 0.274
O10 O 0.493 0.318 0.322
O11 O 0.507 0.682 0.678
O12 O 0.556 0.005 0.726
O13 O 0.639 0.449 0.812
O14 O 0.673 0.157 0.151
O15 O 0.745 0.706 0.316
O16 O 0.767 0.214 0.430
O17 O 0.792 0.995 0.552
O18 O 0.878 0.930 0.792
O19 O 0.880 0.236 0.794
O20 O 0.981 0.320 0.092
```